Structure and theoretical powder diffractogram of NbVTe2Se (DFT lattice parameters and positions (GGA-PBE); λ = 1.5418 Å (Cu Kα)).
Lines closer than 0.1° are merged.

Most intense lines, 5 to 70 degrees two-theta, in order of rising 2θ:
two_theta  I (rel.)
17.61  7.0
18.34  10.1
31.19  100.0
35.66  56.2
37.18  25.0
51.32  19.4
52.46  36.3
61.28  28.7
63.32  13.0
65.05  18.7

Structural model:
```
NbVTe2Se
1.0
5.0357 0.0000 0.0000
0.0000 5.0357 0.0000
0.0000 0.0000 4.8369
Nb V Te Se
1 1 2 1
direct
0.0000 0.0000 0.0000
0.0000 0.0000 0.5000
0.0000 0.5000 0.5000
0.5000 0.0000 0.5000
0.5000 0.5000 0.0000
```

Structure and theoretical powder diffractogram of LiTaGe (DFT lattice parameters and positions (GGA-PBE); λ = 1.5418 Å (Cu Kα)).
Lines closer than 0.1° are merged.

Most intense lines, 5 to 70 degrees two-theta, in order of rising 2θ:
two_theta  I (rel.)
6.95  100.0
34.65  11.5
35.26  2.9
38.20  24.6
39.25  5.8
39.91  3.6
42.62  4.3
42.73  5.3
50.70  2.8
59.32  3.3

Structural model:
```
LiTaGe
1.0
1.8007 -2.2953 0.0000
1.8007 2.2953 0.0000
0.0000 0.0000 12.7269
Li Ta Ge
2 2 2
direct
0.2500 0.7500 0.8954
0.7500 0.2500 0.1046
0.2500 0.7500 0.5902
0.7500 0.2500 0.4098
0.2500 0.7500 0.2529
0.7500 0.2500 0.7471
```

Structure and theoretical powder diffractogram of Bi3Pb4S8 (DFT lattice parameters and positions (GGA-PBE); λ = 1.5418 Å (Cu Kα)).
Lines closer than 0.1° are merged.

Most intense lines, 5 to 70 degrees two-theta, in order of rising 2θ:
two_theta  I (rel.)
13.03  29.7
26.16  100.0
26.34  98.5
30.08  77.2
30.42  75.0
30.70  73.2
43.30  85.9
43.76  83.3
51.56  35.0
53.82  30.3

Structural model:
```
Bi3Pb4S8
1.0
5.8247 -5.8776 0.0000
5.8247 5.8776 0.0000
-5.7658 0.0000 5.9417
Bi Pb S
3 4 8
direct
0.0000 0.0000 0.0000
0.0000 0.5000 0.5000
0.5000 0.0000 0.5000
0.0000 0.0000 0.5000
0.0000 0.5000 0.0000
0.5000 0.0000 0.0000
0.5000 0.5000 0.0000
0.2428 0.2428 0.9975
0.2450 0.7550 0.0000
0.2487 0.2487 0.4873
0.2517 0.7483 0.5000
0.7483 0.2517 0.5000
0.7513 0.7513 0.5127
0.7550 0.2450 0.0000
0.7572 0.7572 0.0025
```

Structure and theoretical powder diffractogram of AcCd8AgHg2 (DFT lattice parameters and positions (GGA-PBE); λ = 1.5418 Å (Cu Kα)).
Lines closer than 0.1° are merged.

Most intense lines, 5 to 70 degrees two-theta, in order of rising 2θ:
two_theta  I (rel.)
7.34  20.9
27.48  62.6
31.54  22.1
33.50  100.0
34.96  45.5
35.18  55.2
35.65  58.9
38.86  35.1
39.64  23.7
40.05  20.6

Structural model:
```
AcCd8AgHg2
1.0
4.3748 -2.8370 0.0000
4.3748 2.8370 0.0000
-2.4888 0.0000 12.0502
Ac Cd Ag Hg
1 8 1 2
direct
0.0000 0.0000 0.0000
0.1976 0.7042 0.6942
0.2620 0.2620 0.8343
0.2958 0.8024 0.3058
0.3266 0.3266 0.4589
0.6734 0.6734 0.5411
0.7042 0.1976 0.6942
0.7380 0.7380 0.1657
0.8024 0.2958 0.3058
0.0000 0.0000 0.5000
0.3655 0.3655 0.1087
0.6345 0.6345 0.8913
```

Structure and theoretical powder diffractogram of Th5Se6 (DFT lattice parameters and positions (GGA-PBE); λ = 1.5418 Å (Cu Kα)).
Lines closer than 0.1° are merged.

Most intense lines, 5 to 70 degrees two-theta, in order of rising 2θ:
two_theta  I (rel.)
14.84  6.0
26.17  17.6
26.24  15.3
30.36  100.0
43.45  62.6
43.55  12.4
51.45  14.3
53.87  13.2
54.00  13.2
63.15  12.3

Structural model:
```
Th5Se6
1.0
3.6054 -6.2554 0.0000
3.6054 6.2554 0.0000
-2.4171 0.0000 6.7916
Th Se
5 6
direct
0.0000 0.0000 0.0000
0.1663 0.8337 0.5000
0.3291 0.6709 0.0000
0.6709 0.3291 0.0000
0.8337 0.1663 0.5000
0.1055 0.4217 0.2635
0.2625 0.2625 0.7433
0.4217 0.1055 0.2635
0.5783 0.8945 0.7365
0.7375 0.7375 0.2567
0.8945 0.5783 0.7365
```

Structure and theoretical powder diffractogram of Dy6HRh2 (DFT lattice parameters and positions (GGA-PBE); λ = 1.5418 Å (Cu Kα)).
Lines closer than 0.1° are merged.

Most intense lines, 5 to 70 degrees two-theta, in order of rising 2θ:
two_theta  I (rel.)
31.09  38.4
31.38  100.0
31.83  46.2
32.37  45.0
32.67  43.2
33.87  34.5
34.42  47.4
38.00  34.2
40.63  32.9
53.52  35.0

Structural model:
```
Dy6HRh2
1.0
6.2900 0.0000 0.0000
0.0000 7.1201 0.0000
-6.1201 0.0000 9.5118
Dy H Rh
12 2 4
direct
0.1074 0.1758 0.4366
0.1074 0.3242 0.9366
0.2672 0.6745 0.4357
0.2672 0.8255 0.9357
0.3898 0.0347 0.2494
0.3898 0.4653 0.7494
0.6102 0.5347 0.2506
0.6102 0.9653 0.7506
0.7328 0.1745 0.0643
0.7328 0.3255 0.5643
0.8926 0.6758 0.0634
0.8926 0.8242 0.5634
0.0000 0.0000 0.0000
0.0000 0.5000 0.5000
0.1806 0.1192 0.7421
0.1806 0.3808 0.2421
0.8194 0.6192 0.7579
0.8194 0.8808 0.2579
```

Structure and theoretical powder diffractogram of K2Mg5Tl12 (DFT lattice parameters and positions (GGA-PBE); λ = 1.5418 Å (Cu Kα)).
Lines closer than 0.1° are merged.

Most intense lines, 5 to 70 degrees two-theta, in order of rising 2θ:
two_theta  I (rel.)
16.17  73.6
21.56  17.3
25.39  22.6
28.55  51.0
32.34  33.7
32.60  100.0
36.36  22.4
36.58  74.3
38.30  24.6
60.33  14.2

Structural model:
```
K2Mg5Tl12
1.0
5.4826 3.1654 5.5367
-5.4826 3.1654 5.5367
0.0000 -6.3308 5.5367
K Mg Tl
2 5 12
direct
0.1469 0.1469 0.1469
0.8531 0.8531 0.8531
0.0000 0.5000 0.5000
0.4020 0.4020 0.4020
0.5000 0.0000 0.5000
0.5000 0.5000 0.0000
0.5980 0.5980 0.5980
0.1587 0.1587 0.6273
0.1587 0.6273 0.1587
0.2078 0.5000 0.7922
0.2078 0.7922 0.5000
0.3727 0.8413 0.8413
0.5000 0.2078 0.7922
0.5000 0.7922 0.2078
0.6273 0.1587 0.1587
0.7922 0.2078 0.5000
0.7922 0.5000 0.2078
0.8413 0.3727 0.8413
0.8413 0.8413 0.3727
```

Structure and theoretical powder diffractogram of Ac12PmPr6 (DFT lattice parameters and positions (GGA-PBE); λ = 1.5418 Å (Cu Kα)).
Lines closer than 0.1° are merged.

Most intense lines, 5 to 70 degrees two-theta, in order of rising 2θ:
two_theta  I (rel.)
27.96  34.0
28.11  100.0
32.53  68.6
46.57  25.5
46.76  26.1
55.19  15.4
55.39  46.0
57.78  4.5
58.11  13.2
68.12  8.2

Structural model:
```
Ac12PmPr6
1.0
8.4683 4.8892 3.1912
-8.4683 4.8892 3.1912
0.0000 -9.7784 3.1912
Ac Pm Pr
12 1 6
direct
0.0640 0.3753 0.5829
0.1024 0.7377 0.1553
0.1553 0.1024 0.7377
0.2623 0.8447 0.8976
0.3753 0.5829 0.0640
0.4171 0.9360 0.6247
0.5829 0.0640 0.3753
0.6247 0.4171 0.9360
0.7377 0.1553 0.1024
0.8447 0.8976 0.2623
0.8976 0.2623 0.8447
0.9360 0.6247 0.4171
0.0000 0.0000 0.0000
0.2148 0.4689 0.3177
0.3177 0.2148 0.4689
0.4689 0.3177 0.2148
0.5311 0.6823 0.7852
0.6823 0.7852 0.5311
0.7852 0.5311 0.6823
```